Simulated powder diffractogram
Compound: Ce3AlGe6Pd2
Radiation: Cu Kα, 1.54184 Å
Structure: DFT lattice parameters and positions (PBE)
Peak positions follow from Bragg's law for the DFT cell and can differ from measured ones.

Structural model:
Lattice parameters (Å, degrees): 5.936 5.936 8.237 90.00 90.00 120.00
Atoms (fractional coordinates):
Ce 0.000 0.000 0.000
Ce 0.333 0.667 0.622
Ce 0.667 0.333 0.378
Al 0.000 0.000 0.500
Ge 0.186 0.372 0.280
Ge 0.186 0.814 0.280
Ge 0.372 0.186 0.720
Ge 0.628 0.814 0.280
Ge 0.814 0.186 0.720
Ge 0.814 0.628 0.720
Pd 0.333 0.667 0.019
Pd 0.667 0.333 0.981

Top 12 peaks for 5° ≤ 2θ ≤ 70°, sorted by position:
Position (°2θ)  I (rel.)
27.76  38.6
30.11  85.9
32.61  45.8
36.62  100.0
37.12  24.7
37.35  87.8
41.41  62.0
44.98  37.5
52.04  22.2
58.33  27.6
62.60  39.6
64.72  25.0

---

Simulated powder diffractogram
Compound: Pu3Se3I
Radiation: Cu Kα, 1.54184 Å
Structure: DFT lattice parameters and positions (PBE)
Peak positions follow from Bragg's law for the DFT cell and can differ from measured ones.

Structural model:
Lattice parameters (Å, degrees): 10.240 10.240 10.240 109.47 109.47 109.47
Atoms (fractional coordinates):
Pu 0.000 0.254 0.505
Pu 0.000 0.505 0.254
Pu 0.251 0.746 0.746
Pu 0.254 0.000 0.505
Pu 0.254 0.505 0.000
Pu 0.495 0.495 0.749
Pu 0.495 0.749 0.495
Pu 0.505 0.000 0.254
Pu 0.505 0.254 0.000
Pu 0.746 0.251 0.746
Pu 0.746 0.746 0.251
Pu 0.749 0.495 0.495
Se 0.000 0.500 0.750
Se 0.000 0.750 0.500
Se 0.250 0.250 0.750
Se 0.250 0.500 0.500
Se 0.250 0.750 0.250
Se 0.500 0.000 0.750
Se 0.500 0.250 0.500
Se 0.500 0.500 0.250
Se 0.500 0.750 0.000
Se 0.750 0.000 0.500
Se 0.750 0.250 0.250
Se 0.750 0.500 0.000
I 0.000 0.000 0.233
I 0.000 0.233 0.000
I 0.233 0.000 0.000
I 0.767 0.767 0.767

Top 12 peaks for 5° ≤ 2θ ≤ 70°, sorted by position:
Position (°2θ)  I (rel.)
10.58  16.7
18.38  18.9
23.80  5.7
26.11  18.6
28.24  19.3
30.24  100.0
35.61  7.3
43.29  75.3
51.25  10.3
53.71  26.7
57.26  5.8
62.88  12.4

---

Copy entry 1 word for word.
Simulated powder diffractogram
Compound: Ce3AlGe6Pd2
Radiation: Cu Kα, 1.54184 Å
Structure: DFT lattice parameters and positions (PBE)
Peak positions follow from Bragg's law for the DFT cell and can differ from measured ones.

Structural model:
Lattice parameters (Å, degrees): 5.936 5.936 8.237 90.00 90.00 120.00
Atoms (fractional coordinates):
Ce 0.000 0.000 0.000
Ce 0.333 0.667 0.622
Ce 0.667 0.333 0.378
Al 0.000 0.000 0.500
Ge 0.186 0.372 0.280
Ge 0.186 0.814 0.280
Ge 0.372 0.186 0.720
Ge 0.628 0.814 0.280
Ge 0.814 0.186 0.720
Ge 0.814 0.628 0.720
Pd 0.333 0.667 0.019
Pd 0.667 0.333 0.981

Top 12 peaks for 5° ≤ 2θ ≤ 70°, sorted by position:
Position (°2θ)  I (rel.)
27.76  38.6
30.11  85.9
32.61  45.8
36.62  100.0
37.12  24.7
37.35  87.8
41.41  62.0
44.98  37.5
52.04  22.2
58.33  27.6
62.60  39.6
64.72  25.0